Structure and computed powder diffraction line list of Li2PmI5 (a crystal structure in Alexandria, relaxed with GGA-PBE; copper Kα).

Structural model:
```
data_Li2PmI5
_space_group_name_H-M_alt 'C 1 m 1'
_space_group_IT_number 8
_space_group_name_Hall 'C -2y'
_cell_length_a 13.3302
_cell_length_b 9.1180
_cell_length_c 7.6013
_cell_angle_alpha 90.00
_cell_angle_beta 120.36
_cell_angle_gamma 90.00
loop_
_atom_site_label
_atom_site_fract_x
_atom_site_fract_y
_atom_site_fract_z
_atom_site_occupancy
Li1 0.0000 0.2104 0.0000 1
Pm1 0.2657 0.5000 0.2143 1
I1 0.0165 0.5000 0.1549 1
I2 0.0208 0.0000 0.2934 1
I3 0.2008 0.2253 0.9689 1
I4 0.3610 0.5000 0.6753 1
```

Most intense lines, 2θ from 15° to 90°, sorted by position:
- 2θ 15.20, intensity 54
- 2θ 23.47, intensity 35
- 2θ 23.77, intensity 70
- 2θ 24.34, intensity 67
- 2θ 24.92, intensity 53
- 2θ 25.22, intensity 56
- 2θ 26.10, intensity 72
- 2θ 26.83, intensity 100
- 2θ 33.66, intensity 87
- 2θ 41.29, intensity 38
- 2θ 42.14, intensity 37
- 2θ 44.95, intensity 40



Structure and computed powder diffraction line list of K2NdAs2S6 (a crystal structure in Alexandria, relaxed with GGA-PBE; copper Kα).

Structural model:
```
data_K2NdAs2S6
_space_group_name_H-M_alt 'C 1 2/m 1'
_space_group_IT_number 12
_space_group_name_Hall '-C 2y'
_cell_length_a 11.9305
_cell_length_b 7.2012
_cell_length_c 8.4708
_cell_angle_alpha 90.00
_cell_angle_beta 118.19
_cell_angle_gamma 90.00
loop_
_atom_site_label
_atom_site_fract_x
_atom_site_fract_y
_atom_site_fract_z
_atom_site_occupancy
K1 0.2012 0.0000 0.1788 1
Nd1 0.0000 0.0000 0.5000 1
As1 0.0441 0.5000 0.1881 1
S1 0.0589 0.2489 0.7933 1
S2 0.2439 0.5000 0.4085 1
```

Most intense lines, 2θ from 15° to 90°, sorted by position:
- 2θ 16.40, intensity 89
- 2θ 16.86, intensity 66
- 2θ 21.45, intensity 42
- 2θ 24.54, intensity 100
- 2θ 24.73, intensity 45
- 2θ 25.59, intensity 93
- 2θ 33.15, intensity 34
- 2θ 35.37, intensity 36
- 2θ 36.09, intensity 40
- 2θ 40.64, intensity 33
- 2θ 44.26, intensity 38
- 2θ 44.84, intensity 40



Structure and computed powder diffraction line list of HfZrTiIr (a crystal structure in Alexandria, relaxed with GGA-PBE; copper Kα).

Structural model:
```
data_HfZrTiIr
_space_group_name_H-M_alt 'I m m 2'
_space_group_IT_number 44
_space_group_name_Hall 'I 2 -2'
_cell_length_a 3.3216
_cell_length_b 4.5906
_cell_length_c 9.7017
_cell_angle_alpha 90.00
_cell_angle_beta 90.00
_cell_angle_gamma 90.00
loop_
_atom_site_label
_atom_site_fract_x
_atom_site_fract_y
_atom_site_fract_z
_atom_site_occupancy
Hf1 0.0000 0.0000 0.0000 1
Zr1 0.0000 0.5000 0.2346 1
Ti1 0.0000 0.5000 0.7689 1
Ir1 0.0000 0.0000 0.4934 1
```

Most intense lines, 2θ from 15° to 90°, sorted by position:
- 2θ 18.29, intensity 31
- 2θ 33.29, intensity 14
- 2θ 37.07, intensity 26
- 2θ 38.25, intensity 100
- 2θ 39.25, intensity 24
- 2θ 50.67, intensity 10
- 2θ 55.09, intensity 17
- 2θ 55.31, intensity 9
- 2θ 67.59, intensity 17
- 2θ 68.47, intensity 9
- 2θ 70.48, intensity 16
- 2θ 81.87, intensity 11